Starting from the GGA-PBE geometry in the Materials Project, the X-ray diffraction stick pattern of La6CrSi2S14 was simulated for Cu Kα (λ = 1.5418 Å).
Kinematic intensities with the Lorentz-polarization factor, no thermal factor.

Top 6 peaks for 2θ = 15–90°, most intense first:
2θ (°), d [Å], intensity, hkl
25.09, 3.549, 100, 2 0 1
39.35, 2.290, 59, 1 3 1
36.02, 2.493, 54, 3 1 0
23.02, 3.863, 47, 2 -1 1
36.96, 2.432, 35, 0 2 2
40.98, 2.202, 34, 2 1 2

Crystal structure
```
23
Lattice="10.3805 0.0000 0.0000 -5.1903 8.9898 0.0000 0.0000 0.0000 5.7844" Properties=species:S:1:pos:R:3 pbc="T T T"
La -2.1337 4.0981 0.0000
La 2.1240 1.9020 2.8838
La -0.5743 8.7886 0.0000
La 2.7080 5.0929 0.0000
La 7.6713 0.8884 2.8838
La 5.7755 6.1993 2.8838
Cr 5.1903 2.9966 4.2630
Si 0.0000 0.0000 0.4770
Si 0.0000 5.9932 3.3822
S 0.0000 0.0000 4.1521
S -0.3597 1.9580 1.2875
S -3.3147 8.3223 1.2875
S -1.8688 6.6773 4.1954
S 0.3420 4.0328 4.1954
S 0.0000 5.9932 1.2713
S 3.1285 2.2616 5.6281
S 4.7830 0.8469 2.9046
S 1.5268 7.2696 4.1954
S 3.5322 4.4241 2.9046
S 6.8577 1.5786 5.6281
S 3.6744 7.6992 1.2875
S 5.5846 5.1496 5.6281
S 7.2556 3.7188 2.9046
```

=====

Starting from the GGA-PBE geometry in the Materials Project, the X-ray diffraction stick pattern of LaCrSb3 was simulated for Cu Kα (λ = 1.5418 Å).
Kinematic intensities with the Lorentz-polarization factor, no thermal factor.

Top 6 peaks for 2θ = 15–90°, most intense first:
2θ (°), d [Å], intensity, hkl
33.59, 2.668, 100, 4 1 1
31.49, 2.841, 60, 2 2 0
41.06, 2.198, 59, 0 2 2
31.97, 2.800, 49, 2 0 2
28.46, 3.136, 26, 3 1 1
54.36, 1.688, 25, 4 1 3

Crystal structure
```
20
Lattice="13.4250 0.0000 0.0000 0.0000 6.2723 0.0000 0.0000 0.0000 6.1637" Properties=species:S:1:pos:R:3 pbc="T T T"
La 2.5870 0.0363 1.5409
La 2.5870 3.0998 4.6227
La 10.8380 3.1724 1.5409
La 10.8380 6.2360 4.6227
Cr 5.5203 4.7042 0.0000
Cr 5.5203 4.7042 3.0818
Cr 7.9047 1.5681 0.0000
Cr 7.9047 1.5681 3.0818
Sb 0.0168 4.7042 0.0000
Sb 0.0168 4.7042 3.0818
Sb 3.8311 3.1690 1.5409
Sb 3.8311 6.2394 4.6227
Sb 5.8744 0.6254 1.5409
Sb 5.8744 2.5107 4.6227
Sb 7.5506 3.7616 1.5409
Sb 7.5506 5.6468 4.6227
Sb 9.5938 0.0329 1.5409
Sb 9.5938 3.1032 4.6227
Sb 13.4082 1.5681 0.0000
Sb 13.4082 1.5681 3.0818
```